No. 1
Theoretical PXRD pattern of FeMo2Rh2 for Cu Kα (weighted mean of Kα1 and Kα2), from a crystal structure in Alexandria, relaxed with GGA-PBE.

Top 10 peaks for 10° ≤ 2θ ≤ 90°, by intensity:
41.47 deg, rel. 100; 75.63 deg, rel. 26; 60.09 deg, rel. 16; 75.71 deg, rel. 5; 35.96 deg, rel. 4; 77.98 deg, rel. 2; 24.53 deg, rel. 1; 27.17 deg, rel. 1; 56.03 deg, rel. 1; 72.06 deg, rel. 1

Cell and atoms:
```
FeMo2Rh2
1.0
3.771 -2.178 0.000
3.771 2.178 0.000
-2.522 0.000 4.444
Fe Mo Rh
1 2 2
direct
0.000 0.000 0.000 Fe
0.192 0.192 0.576 Mo
0.808 0.808 0.424 Mo
0.391 0.391 0.178 Rh
0.609 0.609 0.822 Rh
```

---

No. 2
Theoretical PXRD pattern of Hf3MgSc3 for Cu Kα (weighted mean of Kα1 and Kα2), from a crystal structure in Alexandria, relaxed with GGA-PBE.

Top 10 peaks for 10° ≤ 2θ ≤ 90°, by intensity:
35.72 deg, rel. 100; 13.90 deg, rel. 91; 36.07 deg, rel. 87; 34.87 deg, rel. 83; 23.47 deg, rel. 67; 36.85 deg, rel. 55; 26.22 deg, rel. 54; 34.26 deg, rel. 53; 10.14 deg, rel. 51; 33.68 deg, rel. 50

Cell and atoms:
```
Hf3MgSc3
1.0
5.974 0.000 0.000
1.773 6.373 0.000
0.733 -0.018 8.727
Hf Mg Sc
6 2 6
direct
0.055 0.113 0.371 Hf
0.171 0.070 0.882 Hf
0.360 0.274 0.142 Hf
0.640 0.726 0.858 Hf
0.829 0.930 0.118 Hf
0.945 0.887 0.629 Hf
0.043 0.603 0.360 Mg
0.957 0.397 0.640 Mg
0.175 0.596 0.886 Sc
0.369 0.776 0.162 Sc
0.476 0.769 0.535 Sc
0.524 0.231 0.465 Sc
0.631 0.224 0.838 Sc
0.825 0.404 0.114 Sc
```

---

No. 3
Theoretical PXRD pattern of Nd3Zn7Pd4 for Cu Kα (weighted mean of Kα1 and Kα2), from a crystal structure in Alexandria, relaxed with GGA-PBE.

Top 10 peaks for 10° ≤ 2θ ≤ 90°, by intensity:
35.42 deg, rel. 100; 40.84 deg, rel. 78; 35.19 deg, rel. 70; 34.34 deg, rel. 70; 29.01 deg, rel. 37; 40.56 deg, rel. 36; 38.44 deg, rel. 32; 36.33 deg, rel. 26; 42.13 deg, rel. 26; 33.06 deg, rel. 24

Cell and atoms:
```
Nd3Zn7Pd4
1.0
7.795 -2.210 0.000
7.795 2.210 0.000
-5.294 0.000 7.741
Nd Zn Pd
3 7 4
direct
0.000 0.000 0.000 Nd
0.302 0.302 0.298 Nd
0.698 0.698 0.702 Nd
0.000 0.000 0.500 Zn
0.137 0.137 0.416 Zn
0.326 0.326 0.980 Zn
0.497 0.497 0.700 Zn
0.503 0.503 0.300 Zn
0.674 0.674 0.020 Zn
0.863 0.863 0.584 Zn
0.118 0.118 0.835 Pd
0.335 0.335 0.707 Pd
0.665 0.665 0.293 Pd
0.882 0.882 0.165 Pd
```

---

No. 4
Theoretical PXRD pattern of Ta2V5Ga for Cu Kα (weighted mean of Kα1 and Kα2), from a crystal structure in Alexandria, relaxed with GGA-PBE.

Top 10 peaks for 10° ≤ 2θ ≤ 90°, by intensity:
41.28 deg, rel. 100; 40.89 deg, rel. 52; 14.45 deg, rel. 35; 74.72 deg, rel. 33; 32.18 deg, rel. 25; 28.60 deg, rel. 22; 59.20 deg, rel. 17; 75.53 deg, rel. 16; 29.14 deg, rel. 11; 89.66 deg, rel. 10

Cell and atoms:
```
Ta2V5Ga
1.0
-2.207 2.207 6.130
2.207 -2.207 6.130
2.207 2.207 -6.130
Ta V Ga
2 5 1
direct
0.247 0.247 0.000 Ta
0.753 0.753 0.000 Ta
0.000 0.000 0.000 V
0.122 0.622 0.500 V
0.378 0.878 0.500 V
0.622 0.122 0.500 V
0.878 0.378 0.500 V
0.500 0.500 0.000 Ga
```

---

No. 5
Theoretical PXRD pattern of Cu4BiPt for Cu Kα (weighted mean of Kα1 and Kα2), from a crystal structure in Alexandria, relaxed with GGA-PBE.

Top 10 peaks for 10° ≤ 2θ ≤ 90°, by intensity:
42.14 deg, rel. 100; 35.71 deg, rel. 71; 68.56 deg, rel. 31; 64.15 deg, rel. 27; 75.63 deg, rel. 22; 21.64 deg, rel. 20; 44.11 deg, rel. 12; 86.53 deg, rel. 8; 56.39 deg, rel. 6; 79.77 deg, rel. 5

Cell and atoms:
```
Cu4BiPt
1.0
4.357 -2.514 0.000
4.357 2.514 0.000
-2.900 0.000 4.106
Cu Bi Pt
4 1 1
direct
0.000 0.000 0.000 Cu
0.001 0.497 0.496 Cu
0.002 0.002 0.498 Cu
0.497 0.001 0.496 Cu
0.625 0.625 0.872 Bi
0.375 0.375 0.123 Pt
```

---

No. 6
Theoretical PXRD pattern of Nd3Pu4Te8 for Cu Kα (weighted mean of Kα1 and Kα2), from a crystal structure in Alexandria, relaxed with GGA-PBE.

Top 10 peaks for 10° ≤ 2θ ≤ 90°, by intensity:
28.30 deg, rel. 100; 40.39 deg, rel. 39; 40.50 deg, rel. 38; 50.14 deg, rel. 21; 66.26 deg, rel. 15; 66.38 deg, rel. 12; 73.61 deg, rel. 11; 12.16 deg, rel. 9; 66.11 deg, rel. 9; 58.58 deg, rel. 9

Cell and atoms:
```
Nd3Pu4Te8
1.0
8.904 0.000 0.000
4.451 7.719 0.000
0.008 5.129 7.304
Nd Pu Te
3 4 8
direct
0.000 0.000 0.000 Nd
0.000 0.500 0.000 Nd
0.500 0.000 0.500 Nd
0.000 0.500 0.500 Pu
0.500 0.000 0.000 Pu
0.500 0.500 0.000 Pu
0.500 0.500 0.500 Pu
0.247 0.998 0.255 Te
0.248 0.998 0.748 Te
0.249 0.504 0.746 Te
0.251 0.500 0.253 Te
0.749 0.500 0.747 Te
0.751 0.496 0.254 Te
0.752 0.002 0.252 Te
0.753 0.002 0.745 Te
```

---

No. 7
Theoretical PXRD pattern of Th4SbOs2 for Cu Kα (weighted mean of Kα1 and Kα2), from a crystal structure in Alexandria, relaxed with GGA-PBE.

Top 10 peaks for 10° ≤ 2θ ≤ 90°, by intensity:
29.36 deg, rel. 100; 28.77 deg, rel. 70; 31.44 deg, rel. 54; 43.89 deg, rel. 40; 42.25 deg, rel. 38; 39.14 deg, rel. 36; 51.92 deg, rel. 29; 28.63 deg, rel. 28; 29.12 deg, rel. 25; 44.31 deg, rel. 21

Cell and atoms:
```
Th4SbOs2
1.0
2.139 -6.830 0.000
2.139 6.830 0.000
0.000 0.000 13.935
Th Sb Os
8 2 4
direct
0.000 0.000 0.000 Th
0.000 0.000 0.500 Th
0.264 0.736 0.611 Th
0.264 0.736 0.889 Th
0.430 0.570 0.250 Th
0.570 0.430 0.750 Th
0.736 0.264 0.111 Th
0.736 0.264 0.389 Th
0.109 0.891 0.250 Sb
0.891 0.109 0.750 Sb
0.373 0.627 0.059 Os
0.373 0.627 0.441 Os
0.627 0.373 0.559 Os
0.627 0.373 0.941 Os
```

---

No. 8
Theoretical PXRD pattern of Ac2GaPdO6 for Cu Kα (weighted mean of Kα1 and Kα2), from a crystal structure in Alexandria, relaxed with GGA-PBE.

Top 10 peaks for 10° ≤ 2θ ≤ 90°, by intensity:
31.30 deg, rel. 100; 55.71 deg, rel. 41; 44.85 deg, rel. 28; 74.20 deg, rel. 18; 65.30 deg, rel. 17; 21.99 deg, rel. 16; 38.58 deg, rel. 14; 50.49 deg, rel. 9; 82.72 deg, rel. 6; 78.49 deg, rel. 5

Cell and atoms:
```
Ac2GaPdO6
1.0
0.000 4.042 4.042
4.042 0.000 4.042
4.042 4.042 0.000
Ac Ga Pd O
2 1 1 6
direct
0.250 0.250 0.250 Ac
0.750 0.750 0.750 Ac
0.000 0.000 0.000 Ga
0.500 0.500 0.500 Pd
0.244 0.244 0.756 O
0.244 0.756 0.244 O
0.244 0.756 0.756 O
0.756 0.244 0.244 O
0.756 0.244 0.756 O
0.756 0.756 0.244 O
```